Record 1
The following is a simulated powder diffraction line list of Fe2CoRu. It was derived from a DFT-relaxed cell (PBE, Alexandria), using Cu Kα.

Peak list (6 most intense, 10 to 90 degrees two-theta, most intense first)
d [Å], I/Imax
2.109, 100
2.092, 98
1.827, 63
1.284, 45
1.804, 30
1.104, 23

Crystal structure
abc: 5.1366 7.2173 2.5983
angles: 90.00 90.00 90.00
Fractional positions:
Fe  0.2500  0.2500  0.0000
Fe  0.2500  0.7500  0.0000
Fe  0.7500  0.2500  0.0000
Fe  0.7500  0.7500  0.0000
Co  0.0000  0.0000  0.5000
Co  0.5000  0.5000  0.5000
Ru  0.0000  0.5000  0.5000
Ru  0.5000  0.0000  0.5000

***

Record 2
The following is a simulated powder diffraction line list of CdGaCu3Se4. It was derived from a DFT-relaxed cell (PBE, Alexandria), using Cu Kα.

Peak list (6 most intense, 10 to 90 degrees two-theta, most intense first)
d [Å], I/Imax
2.089, 100
3.412, 86
1.782, 38
1.206, 31
4.178, 19
1.477, 16

Crystal structure
abc: 5.9090 5.9090 5.9090
angles: 90.00 90.00 90.00
Fractional positions:
Cd  0.0000  0.0000  0.0000
Ga  0.5000  0.5000  0.5000
Cu  0.0000  0.5000  0.5000
Cu  0.5000  0.0000  0.5000
Cu  0.5000  0.5000  0.0000
Se  0.2597  0.2597  0.7403
Se  0.2597  0.7403  0.2597
Se  0.7403  0.2597  0.2597
Se  0.7403  0.7403  0.7403

***

Record 3
The following is a simulated powder diffraction line list of Ca3InP3. It was derived from a DFT-relaxed cell (PBE, Alexandria), using Cu Kα.

Peak list (6 most intense, 10 to 90 degrees two-theta, most intense first)
d [Å], I/Imax
2.444, 100
2.730, 87
2.966, 69
2.647, 63
6.783, 57
2.078, 54

Crystal structure
abc: 12.0838 4.1558 13.5662
angles: 90.00 90.00 90.00
Fractional positions:
Ca  0.0653  0.2500  0.1016
Ca  0.1535  0.7500  0.5063
Ca  0.2311  0.7500  0.7897
Ca  0.2689  0.2500  0.2897
Ca  0.3465  0.2500  0.0063
Ca  0.4347  0.7500  0.6016
Ca  0.5653  0.2500  0.3984
Ca  0.6535  0.7500  0.9937
Ca  0.7311  0.7500  0.7103
Ca  0.7689  0.2500  0.2103
Ca  0.8465  0.2500  0.4937
Ca  0.9347  0.7500  0.8984
In  0.0504  0.2500  0.7000
In  0.4496  0.7500  0.2000
In  0.5504  0.2500  0.8000
In  0.9496  0.7500  0.3000
P  0.0514  0.2500  0.3689
P  0.1038  0.2500  0.8870
P  0.2458  0.7500  0.1289
P  0.2542  0.2500  0.6289
P  0.3962  0.7500  0.3870
P  0.4486  0.7500  0.8689
P  0.5514  0.2500  0.1311
P  0.6038  0.2500  0.6130
P  0.7458  0.7500  0.3711
P  0.7542  0.2500  0.8711
P  0.8962  0.7500  0.1130
P  0.9486  0.7500  0.6311

***

Record 4
The following is a simulated powder diffraction line list of MnIn3S6. It was derived from a DFT-relaxed cell (PBE, Alexandria), using Cu Kα.

Peak list (6 most intense, 10 to 90 degrees two-theta, most intense first)
d [Å], I/Imax
3.460, 100
3.261, 77
2.175, 68
2.373, 52
1.883, 51
1.919, 48

Crystal structure
abc: 6.9461 6.9461 6.9461
angles: 56.01 56.01 56.01
Fractional positions:
Mn  0.0000  0.0000  0.0000
In  0.3018  0.3018  0.3018
In  0.5092  0.5092  0.5092
In  0.7915  0.7915  0.7915
S  0.1082  0.3732  0.7305
S  0.1972  0.9040  0.6221
S  0.3732  0.7305  0.1082
S  0.6221  0.1972  0.9040
S  0.7305  0.1082  0.3732
S  0.9040  0.6221  0.1972

***

Record 5
The following is a simulated powder diffraction line list of Cs3KCl2F6. It was derived from a DFT-relaxed cell (PBE, Alexandria), using Cu Kα.

Peak list (6 most intense, 10 to 90 degrees two-theta, most intense first)
d [Å], I/Imax
3.346, 100
3.226, 76
4.645, 56
2.322, 54
2.715, 41
1.908, 33

Crystal structure
abc: 6.6923 6.6923 7.7662
angles: 90.00 90.00 120.00
Fractional positions:
Cs  0.0000  0.0000  0.0000
Cs  0.3333  0.6667  0.6266
Cs  0.6667  0.3333  0.3734
K  0.0000  0.0000  0.5000
Cl  0.3333  0.6667  0.1001
Cl  0.6667  0.3333  0.8999
F  0.1750  0.3500  0.3042
F  0.1750  0.8250  0.3042
F  0.3500  0.1750  0.6958
F  0.6500  0.8250  0.3042
F  0.8250  0.1750  0.6958
F  0.8250  0.6500  0.6958

***

Record 6
The following is a simulated powder diffraction line list of Ac2DyOs2N6. It was derived from a DFT-relaxed cell (PBE, Alexandria), using Cu Kα.

Peak list (6 most intense, 10 to 90 degrees two-theta, most intense first)
d [Å], I/Imax
2.986, 100
2.931, 99
1.703, 40
2.092, 40
1.692, 20
1.734, 18

Crystal structure
abc: 7.0214 7.0214 7.0214
angles: 49.35 49.35 49.35
Fractional positions:
Ac  0.2123  0.2123  0.2123
Ac  0.7877  0.7877  0.7877
Dy  0.0000  0.0000  0.0000
Os  0.3982  0.3982  0.3982
Os  0.6018  0.6018  0.6018
N  0.2314  0.7433  0.7433
N  0.2567  0.2567  0.7686
N  0.2567  0.7686  0.2567
N  0.7433  0.2314  0.7433
N  0.7433  0.7433  0.2314
N  0.7686  0.2567  0.2567

***

Record 7
The following is a simulated powder diffraction line list of KPmSe. It was derived from a DFT-relaxed cell (PBE, Alexandria), using Cu Kα.

Peak list (6 most intense, 10 to 90 degrees two-theta, most intense first)
d [Å], I/Imax
3.045, 100
6.465, 97
2.560, 71
4.159, 54
2.502, 42
2.310, 41

Crystal structure
abc: 10.6402 10.6402 10.6402
angles: 118.59 74.79 141.61
Fractional positions:
K  0.0801  0.2500  0.3301
K  0.2354  0.1885  0.5468
K  0.6417  0.6885  0.4532
K  0.7431  0.0989  0.1442
K  0.9199  0.7500  0.6699
K  0.9547  0.5989  0.8558
Pm  0.1324  0.4181  0.8898
Pm  0.1324  0.7425  0.2142
Pm  0.4768  0.4768  0.0000
Pm  0.4768  0.9768  0.5000
Pm  0.5283  0.2425  0.1102
Pm  0.5283  0.9181  0.7858
Se  0.3070  0.6123  0.1947
Se  0.4177  0.1123  0.8053
Se  0.5549  0.2323  0.3749
Se  0.5549  0.6799  0.8225
Se  0.8574  0.1799  0.6251
Se  0.8574  0.7323  0.1775

***

Record 8
The following is a simulated powder diffraction line list of Pm5IrRu2. It was derived from a DFT-relaxed cell (PBE, Alexandria), using Cu Kα.

Peak list (6 most intense, 10 to 90 degrees two-theta, most intense first)
d [Å], I/Imax
2.744, 100
2.592, 71
2.366, 58
1.359, 28
2.645, 26
2.974, 25

Crystal structure
abc: 8.9273 8.9273 8.9273
angles: 130.45 130.45 72.69
Fractional positions:
Pm  0.0000  0.0000  0.0000
Pm  0.0341  0.5341  0.8544
Pm  0.1797  0.0341  0.5000
Pm  0.3203  0.8203  0.8544
Pm  0.4659  0.3203  0.5000
Pm  0.5000  0.5000  0.0000
Pm  0.5341  0.6797  0.5000
Pm  0.6797  0.1797  0.1456
Pm  0.8203  0.9659  0.5000
Pm  0.9659  0.4659  0.1456
Ir  0.2500  0.2500  0.0000
Ir  0.7500  0.7500  0.0000
Ru  0.1211  0.3789  0.5000
Ru  0.3789  0.8789  0.2578
Ru  0.6211  0.1211  0.7422
Ru  0.8789  0.6211  0.5000

***

Record 9
The following is a simulated powder diffraction line list of Nd3RuRh. It was derived from a DFT-relaxed cell (PBE, Alexandria), using Cu Kα.

Peak list (6 most intense, 10 to 90 degrees two-theta, most intense first)
d [Å], I/Imax
2.767, 100
2.551, 97
3.145, 89
2.086, 71
2.313, 67
2.811, 66

Crystal structure
abc: 7.7304 4.1719 8.3573
angles: 90.00 106.97 90.00
Fractional positions:
Nd  0.0974  0.2500  0.2473
Nd  0.3157  0.2500  0.9410
Nd  0.3643  0.7500  0.6025
Nd  0.6357  0.2500  0.3975
Nd  0.6843  0.7500  0.0590
Nd  0.9026  0.7500  0.7527
Ru  0.3728  0.7500  0.2102
Ru  0.6272  0.2500  0.7898
Rh  0.0737  0.2500  0.6092
Rh  0.9263  0.7500  0.3908

***

Record 10
The following is a simulated powder diffraction line list of Th2SbPRh6. It was derived from a DFT-relaxed cell (PBE, Alexandria), using Cu Kα.

Peak list (6 most intense, 10 to 90 degrees two-theta, most intense first)
d [Å], I/Imax
3.155, 100
2.366, 93
2.109, 87
2.311, 83
2.939, 78
2.158, 62

Crystal structure
abc: 5.6562 8.6335 8.0232
angles: 90.00 90.00 90.00
Fractional positions:
Th  0.2500  0.0043  0.2410
Th  0.2500  0.4957  0.2410
Th  0.7500  0.5043  0.7590
Th  0.7500  0.9957  0.7590
Sb  0.2500  0.2500  0.7853
Sb  0.7500  0.7500  0.2147
P  0.2500  0.7500  0.7261
P  0.7500  0.2500  0.2739
Rh  0.0013  0.7500  0.9482
Rh  0.0028  0.2500  0.5012
Rh  0.2500  0.5026  0.6061
Rh  0.2500  0.9974  0.6061
Rh  0.4972  0.2500  0.5012
Rh  0.4987  0.7500  0.9482
Rh  0.5013  0.2500  0.0518
Rh  0.5028  0.7500  0.4988
Rh  0.7500  0.0026  0.3939
Rh  0.7500  0.4974  0.3939
Rh  0.9972  0.7500  0.4988
Rh  0.9987  0.2500  0.0518

***

Record 11
The following is a simulated powder diffraction line list of Ga2PdAu4. It was derived from a DFT-relaxed cell (PBE, Alexandria), using Cu Kα.

Peak list (6 most intense, 10 to 90 degrees two-theta, most intense first)
d [Å], I/Imax
2.531, 100
2.489, 56
2.138, 54
2.129, 52
3.260, 35
2.114, 27

Crystal structure
abc: 6.8943 6.8943 6.8943
angles: 108.94 108.94 110.54
Fractional positions:
Ga  0.0173  0.6250  0.8923
Ga  0.3750  0.2673  0.3923
Ga  0.7327  0.1250  0.1077
Ga  0.8750  0.9827  0.6077
Pd  0.2500  0.7500  0.5000
Pd  0.5000  0.5000  0.0000
Au  0.1091  0.3668  0.5866
Au  0.1168  0.3591  0.0866
Au  0.2725  0.0301  0.9134
Au  0.4775  0.8909  0.2577
Au  0.6332  0.2199  0.7423
Au  0.6409  0.7275  0.7577
Au  0.7801  0.5225  0.4134
Au  0.9699  0.8832  0.2423

***

Record 12
The following is a simulated powder diffraction line list of Pm2Ni3P. It was derived from a DFT-relaxed cell (PBE, Alexandria), using Cu Kα.

Peak list (6 most intense, 10 to 90 degrees two-theta, most intense first)
d [Å], I/Imax
2.598, 100
2.618, 51
2.007, 37
1.409, 23
1.580, 22
3.447, 21

Crystal structure
abc: 3.9542 3.9633 6.9845
angles: 90.00 90.00 90.00
Fractional positions:
Pm  0.0000  0.0000  0.0000
Pm  0.0000  0.5000  0.4992
Ni  0.5000  0.0000  0.6524
Ni  0.5000  0.5000  0.1770
Ni  0.5000  0.5000  0.8339
P  0.5000  0.0000  0.3283

***

Record 13
The following is a simulated powder diffraction line list of TmTlO. It was derived from a DFT-relaxed cell (PBE, Alexandria), using Cu Kα.

Peak list (6 most intense, 10 to 90 degrees two-theta, most intense first)
d [Å], I/Imax
2.916, 100
2.622, 86
3.659, 70
2.437, 51
1.645, 37
1.531, 30

Crystal structure
abc: 3.7584 3.9844 9.2406
angles: 90.00 90.00 90.00
Fractional positions:
Tm  0.2500  0.2500  0.1137
Tm  0.7500  0.7500  0.8863
Tl  0.2500  0.7500  0.5997
Tl  0.7500  0.2500  0.4003
O  0.2500  0.7500  0.0160
O  0.7500  0.2500  0.9840